No. 1
Starting from the PBE geometry in Alexandria, the XRD peak list of Y2Er4Th was computed for Cu Ka.

Main lines, low angle first (5° ≤ 2θ ≤ 70°):
| 2θ/deg | I_rel |
| --- | --- |
| 28.82 | 30 |
| 28.93 | 23 |
| 31.49 | 55 |
| 32.53 | 100 |
| 33.27 | 97 |
| 50.99 | 43 |
| 56.26 | 21 |
| 57.69 | 21 |
| 61.17 | 50 |
| 62.25 | 16 |

Structural model:
abc: 3.5822 3.5822 19.9921
angles: 95.16 95.16 60.01
Fractional coordinates of all 7 atoms:
1 Y 0.0000 0.0000 0.0000
2 Y 0.0944 0.0944 0.2849
3 Er 0.1896 0.1896 0.5678
4 Er 0.2861 0.2861 0.8566
5 Er 0.7138 0.7138 0.1430
6 Er 0.8091 0.8091 0.4274
7 Th 0.9048 0.9048 0.7122

---

No. 2
Starting from the PBE geometry in Alexandria, the XRD peak list of In8Hg3Pb2 was computed for Cu Ka.

Main lines, low angle first (5° ≤ 2θ ≤ 70°):
| 2θ/deg | I_rel |
| --- | --- |
| 29.04 | 65 |
| 29.71 | 11 |
| 31.23 | 11 |
| 33.22 | 20 |
| 33.76 | 100 |
| 36.99 | 27 |
| 38.11 | 11 |
| 39.08 | 19 |
| 39.43 | 17 |
| 43.86 | 10 |

Structural model:
abc: 8.6821 8.6821 5.5509
angles: 96.62 96.62 64.14
Fractional coordinates of all 13 atoms:
1 In 0.0517 0.0517 0.2551
2 In 0.1173 0.5624 0.8384
3 In 0.3191 0.3191 0.3307
4 In 0.4376 0.8827 0.1616
5 In 0.5624 0.1173 0.8384
6 In 0.6809 0.6809 0.6693
7 In 0.8827 0.4376 0.1616
8 In 0.9483 0.9483 0.7449
9 Hg 0.3047 0.6953 0.5000
10 Hg 0.5000 0.5000 0.0000
11 Hg 0.6953 0.3047 0.5000
12 Pb 0.1741 0.1741 0.7674
13 Pb 0.8259 0.8259 0.2326

---

No. 3
Starting from the PBE geometry in Alexandria, the XRD peak list of K3Nb2Cu3S8 was computed for Cu Ka.

Main lines, low angle first (5° ≤ 2θ ≤ 70°):
| 2θ/deg | I_rel |
| --- | --- |
| 12.38 | 21 |
| 13.97 | 100 |
| 15.89 | 32 |
| 16.76 | 20 |
| 25.17 | 20 |
| 26.61 | 20 |
| 30.48 | 25 |
| 35.13 | 15 |
| 43.18 | 15 |
| 44.32 | 16 |

Structural model:
abc: 12.3561 12.3561 14.4330
angles: 117.71 117.71 26.11
Fractional coordinates of all 32 atoms:
1 K 0.0000 0.0000 0.0000
2 K 0.0000 0.0000 0.5000
3 K 0.2488 0.3504 0.8988
4 K 0.3504 0.2488 0.3988
5 K 0.6496 0.7512 0.6012
6 K 0.7512 0.6496 0.1012
7 Nb 0.1692 0.5857 0.2251
8 Nb 0.4143 0.8308 0.2749
9 Nb 0.5857 0.1692 0.7251
10 Nb 0.8308 0.4143 0.7749
11 Cu 0.0901 0.6729 0.7250
12 Cu 0.2874 0.7126 0.2500
13 Cu 0.3271 0.9099 0.7750
14 Cu 0.6729 0.0901 0.2250
15 Cu 0.7126 0.2874 0.7500
16 Cu 0.9099 0.3271 0.2750
17 S 0.0314 0.1422 0.8679
18 S 0.1144 0.1919 0.6808
19 S 0.1422 0.0314 0.3679
20 S 0.1919 0.1144 0.1808
21 S 0.2540 0.3398 0.6170
22 S 0.3398 0.2540 0.1170
23 S 0.4336 0.4894 0.8400
24 S 0.4894 0.4336 0.3400
25 S 0.5106 0.5664 0.6600
26 S 0.5664 0.5106 0.1600
27 S 0.6602 0.7460 0.8830
28 S 0.7460 0.6602 0.3830
29 S 0.8081 0.8856 0.8192
30 S 0.8578 0.9686 0.6321
31 S 0.8856 0.8081 0.3192
32 S 0.9686 0.8578 0.1321

---

No. 4
Starting from the PBE geometry in Alexandria, the XRD peak list of NbSO was computed for Cu Ka.

Main lines, low angle first (5° ≤ 2θ ≤ 70°):
| 2θ/deg | I_rel |
| --- | --- |
| 13.39 | 100 |
| 26.97 | 6 |
| 32.86 | 22 |
| 34.28 | 13 |
| 37.45 | 7 |
| 38.60 | 25 |
| 41.15 | 7 |
| 46.43 | 10 |
| 48.04 | 6 |
| 57.40 | 5 |

Structural model:
abc: 7.0190 6.5028 5.5548
angles: 90.00 109.63 90.00
Fractional coordinates of all 12 atoms:
1 Nb 0.0067 0.1291 0.2833
2 Nb 0.0067 0.3709 0.7833
3 Nb 0.9933 0.6291 0.2167
4 Nb 0.9933 0.8709 0.7167
5 S 0.2618 0.1094 0.7040
6 S 0.2618 0.3906 0.2040
7 S 0.7382 0.6094 0.7960
8 S 0.7382 0.8906 0.2960
9 O 0.1319 0.6289 0.6460
10 O 0.1319 0.8711 0.1460
11 O 0.8681 0.1289 0.8540
12 O 0.8681 0.3711 0.3540

---

No. 5
Starting from the PBE geometry in Alexandria, the XRD peak list of PrNd4Dy3 was computed for Cu Ka.

Main lines, low angle first (5° ≤ 2θ ≤ 70°):
| 2θ/deg | I_rel |
| --- | --- |
| 30.14 | 100 |
| 34.94 | 51 |
| 50.25 | 36 |
| 59.72 | 43 |
| 62.67 | 12 |

Structural model:
abc: 10.2761 7.2652 7.2559
angles: 90.00 90.00 90.00
Fractional coordinates of all 16 atoms:
1 Pr 0.0000 0.0000 0.0000
2 Pr 0.5000 0.0000 0.5000
3 Nd 0.0000 0.0000 0.5000
4 Nd 0.0000 0.5000 0.0000
5 Nd 0.2500 0.2522 0.2500
6 Nd 0.2500 0.7478 0.7500
7 Nd 0.5000 0.0000 0.0000
8 Nd 0.5000 0.5000 0.5000
9 Nd 0.7500 0.2522 0.2500
10 Nd 0.7500 0.7478 0.7500
11 Dy 0.0000 0.5000 0.5000
12 Dy 0.2500 0.2524 0.7500
13 Dy 0.2500 0.7476 0.2500
14 Dy 0.5000 0.5000 0.0000
15 Dy 0.7500 0.2524 0.7500
16 Dy 0.7500 0.7476 0.2500

---

No. 6
Starting from the PBE geometry in Alexandria, the XRD peak list of VGa2Co5 was computed for Cu Ka.

Main lines, low angle first (5° ≤ 2θ ≤ 70°):
| 2θ/deg | I_rel |
| --- | --- |
| 13.45 | 1 |
| 36.52 | 1 |
| 43.84 | 100 |
| 48.54 | 37 |
| 55.88 | 12 |

Structural model:
abc: 7.0961 7.0961 7.0961
angles: 149.35 149.35 43.90
Fractional coordinates of all 8 atoms:
1 V 0.0000 0.0000 0.0000
2 Ga 0.2511 0.2511 0.0000
3 Ga 0.7489 0.7489 0.0000
4 Co 0.1224 0.6224 0.5000
5 Co 0.3776 0.8776 0.5000
6 Co 0.5000 0.5000 0.0000
7 Co 0.6224 0.1224 0.5000
8 Co 0.8776 0.3776 0.5000

---

No. 7
Starting from the PBE geometry in Alexandria, the XRD peak list of Li2Bi2TeO6 was computed for Cu Ka.

Main lines, low angle first (5° ≤ 2θ ≤ 70°):
| 2θ/deg | I_rel |
| --- | --- |
| 15.98 | 41 |
| 17.89 | 100 |
| 29.78 | 95 |
| 31.94 | 70 |
| 33.98 | 33 |
| 34.96 | 19 |
| 44.23 | 36 |
| 44.50 | 48 |
| 52.86 | 20 |
| 54.24 | 36 |

Structural model:
abc: 6.5382 6.5382 6.5382
angles: 54.62 54.62 54.62
Fractional coordinates of all 11 atoms:
1 Li 0.0782 0.0782 0.0782
2 Li 0.9218 0.9218 0.9218
3 Bi 0.3138 0.3138 0.3138
4 Bi 0.6862 0.6862 0.6862
5 Te 0.5000 0.5000 0.5000
6 O 0.2535 0.2535 0.7098
7 O 0.2535 0.7098 0.2535
8 O 0.2902 0.7465 0.7465
9 O 0.7098 0.2535 0.2535
10 O 0.7465 0.2902 0.7465
11 O 0.7465 0.7465 0.2902

---

No. 8
Starting from the PBE geometry in Alexandria, the XRD peak list of Ba5CrN4Cl2 was computed for Cu Ka.

Main lines, low angle first (5° ≤ 2θ ≤ 70°):
| 2θ/deg | I_rel |
| --- | --- |
| 18.32 | 58 |
| 22.84 | 77 |
| 25.04 | 51 |
| 27.44 | 78 |
| 29.96 | 45 |
| 30.58 | 41 |
| 30.70 | 45 |
| 31.19 | 49 |
| 35.99 | 100 |
| 38.51 | 36 |

Structural model:
abc: 8.7708 6.2144 6.2144
angles: 102.40 90.00 90.00
Fractional coordinates of all 12 atoms:
1 Ba 0.0000 0.0000 0.0000
2 Ba 0.3011 0.2179 0.6712
3 Ba 0.3011 0.6712 0.2179
4 Ba 0.6989 0.2179 0.6712
5 Ba 0.6989 0.6712 0.2179
6 Cr 0.5000 0.8216 0.8216
7 N 0.3298 0.9469 0.9469
8 N 0.5000 0.5470 0.8697
9 N 0.5000 0.8697 0.5470
10 N 0.6702 0.9469 0.9469
11 Cl 0.0000 0.4795 0.9094
12 Cl 0.0000 0.9094 0.4795